Entry 1:
Starting from a DFT-relaxed cell (PBE, Alexandria), the powder diffraction line list of Pr2GaSb was computed for a wavelength of 1.5418 Å.

```
data_Pr2GaSb
_cell_length_a 6.2331
_cell_length_b 4.2889
_cell_length_c 9.0408
_cell_angle_alpha 90.00
_cell_angle_beta 108.04
_cell_angle_gamma 90.00
_symmetry_space_group_name_H-M 'P 1'
_symmetry_Int_Tables_number 1
loop_
_symmetry_equiv_pos_as_xyz
'x,y,z'
loop_
_atom_site_label
_atom_site_fract_x
_atom_site_fract_y
_atom_site_fract_z
Pr1 0.2021 0.2500 0.4279
Pr2 0.2896 0.7500 0.0659
Pr3 0.7104 0.2500 0.9341
Pr4 0.7979 0.7500 0.5721
Ga1 0.1108 0.2500 0.7957
Ga2 0.8892 0.7500 0.2043
Sb1 0.3700 0.7500 0.7089
Sb2 0.6300 0.2500 0.2911
```

Principal peaks in the range 10° ≤ 2θ ≤ 90°, low angle first:
d (Å)  Rel. int.
3.036  100
2.964  26
2.894  31
2.438  64
2.399  17
2.314  27
2.145  22
1.807  15
1.723  13
1.573  16

=====

Entry 2:
Starting from a DFT-relaxed cell (PBE, Alexandria), the powder diffraction line list of PrGaSb3 was computed for a wavelength of 1.5418 Å.

```
data_PrGaSb3
_cell_length_a 14.4156
_cell_length_b 6.1044
_cell_length_c 6.3382
_cell_angle_alpha 90.00
_cell_angle_beta 90.00
_cell_angle_gamma 90.00
_symmetry_space_group_name_H-M 'P 1'
_symmetry_Int_Tables_number 1
loop_
_symmetry_equiv_pos_as_xyz
'x,y,z'
loop_
_atom_site_label
_atom_site_fract_x
_atom_site_fract_y
_atom_site_fract_z
Pr1 0.1751 0.0033 0.2500
Pr2 0.1751 0.4967 0.7500
Pr3 0.8249 0.5033 0.2500
Pr4 0.8249 0.9967 0.7500
Ga1 0.3898 0.2500 0.0000
Ga2 0.3898 0.2500 0.5000
Ga3 0.6102 0.7500 0.0000
Ga4 0.6102 0.7500 0.5000
Sb1 0.0001 0.2500 0.0000
Sb2 0.0001 0.2500 0.5000
Sb3 0.9998 0.7500 0.0000
Sb4 0.9998 0.7500 0.5000
Sb5 0.2474 0.5111 0.2500
Sb6 0.2474 0.9889 0.7500
Sb7 0.4102 0.6693 0.7500
Sb8 0.4102 0.8307 0.2500
Sb9 0.5898 0.1693 0.7500
Sb10 0.5898 0.3307 0.2500
Sb11 0.7526 0.0111 0.2500
Sb12 0.7526 0.4889 0.7500
```

Principal peaks in the range 10° ≤ 2θ ≤ 90°, low angle first:
d (Å)  Rel. int.
3.244  54
2.901  67
2.883  70
2.811  100
2.787  44
2.646  53
2.620  36
2.576  62
2.411  40
2.198  57

=====

Entry 3:
Starting from a DFT-relaxed cell (PBE, Alexandria), the powder diffraction line list of Pr8GaSb5 was computed for a wavelength of 1.5418 Å.

```
data_Pr8GaSb5
_cell_length_a 8.2727
_cell_length_b 8.2727
_cell_length_c 8.2727
_cell_angle_alpha 109.78
_cell_angle_beta 109.78
_cell_angle_gamma 108.86
_symmetry_space_group_name_H-M 'P 1'
_symmetry_Int_Tables_number 1
loop_
_symmetry_equiv_pos_as_xyz
'x,y,z'
loop_
_atom_site_label
_atom_site_fract_x
_atom_site_fract_y
_atom_site_fract_z
Pr1 0.0098 0.1266 0.7436
Pr2 0.2300 0.4809 0.6068
Pr3 0.3768 0.7700 0.2509
Pr4 0.3830 0.2663 0.2564
Pr5 0.5191 0.1259 0.7491
Pr6 0.7337 0.9902 0.1168
Pr7 0.8734 0.6170 0.8832
Pr8 0.8741 0.6232 0.3932
Ga1 0.7500 0.2500 0.5000
Sb1 0.0040 0.3760 0.1271
Sb2 0.1231 0.9960 0.3720
Sb3 0.2489 0.8769 0.8729
Sb4 0.5000 0.5000 0.0000
Sb5 0.6240 0.7511 0.6280
```

Principal peaks in the range 10° ≤ 2θ ≤ 90°, low angle first:
d (Å)  Rel. int.
3.040  49
3.011  100
2.562  38
2.548  59
1.946  17
1.874  12
1.867  13
1.547  13
1.544  12
1.505  11

=====

Entry 4:
Starting from a DFT-relaxed cell (PBE, Alexandria), the powder diffraction line list of Pr10Ga3Sb3 was computed for a wavelength of 1.5418 Å.

```
data_Pr10Ga3Sb3
_cell_length_a 9.2095
_cell_length_b 9.2095
_cell_length_c 6.7768
_cell_angle_alpha 90.00
_cell_angle_beta 90.00
_cell_angle_gamma 120.00
_symmetry_space_group_name_H-M 'P 1'
_symmetry_Int_Tables_number 1
loop_
_symmetry_equiv_pos_as_xyz
'x,y,z'
loop_
_atom_site_label
_atom_site_fract_x
_atom_site_fract_y
_atom_site_fract_z
Pr1 0.0000 0.2436 0.0000
Pr2 0.0000 0.7575 0.5000
Pr3 0.2425 0.2425 0.5000
Pr4 0.2436 0.0000 0.0000
Pr5 0.3333 0.6667 0.2531
Pr6 0.3333 0.6667 0.7469
Pr7 0.6667 0.3333 0.2531
Pr8 0.6667 0.3333 0.7469
Pr9 0.7564 0.7564 0.0000
Pr10 0.7575 0.0000 0.5000
Ga1 0.0000 0.3947 0.5000
Ga2 0.3947 0.0000 0.5000
Ga3 0.6053 0.6053 0.5000
Sb1 0.0000 0.6079 0.0000
Sb2 0.3921 0.3921 0.0000
Sb3 0.6079 0.0000 0.0000
```

Principal peaks in the range 10° ≤ 2θ ≤ 90°, low angle first:
d (Å)  Rel. int.
3.388  16
3.119  23
3.015  35
2.754  100
2.729  83
2.659  42
1.904  22
1.808  29
1.719  17
1.443  16

=====

Entry 5:
Starting from a DFT-relaxed cell (PBE, Alexandria), the powder diffraction line list of PrSc2Ga6 was computed for a wavelength of 1.5418 Å.

```
data_PrSc2Ga6
_cell_length_a 7.5316
_cell_length_b 7.5316
_cell_length_c 7.5316
_cell_angle_alpha 147.38
_cell_angle_beta 124.42
_cell_angle_gamma 65.95
_symmetry_space_group_name_H-M 'P 1'
_symmetry_Int_Tables_number 1
loop_
_symmetry_equiv_pos_as_xyz
'x,y,z'
loop_
_atom_site_label
_atom_site_fract_x
_atom_site_fract_y
_atom_site_fract_z
Pr1 0.0000 0.0000 0.0000
Sc1 0.3778 0.8778 0.5000
Sc2 0.6222 0.1222 0.5000
Ga1 0.0083 0.3098 0.6985
Ga2 0.3222 0.5000 0.8222
Ga3 0.3887 0.6902 0.6985
Ga4 0.6113 0.3098 0.3015
Ga5 0.6778 0.5000 0.1778
Ga6 0.9917 0.6902 0.3015
```

Principal peaks in the range 10° ≤ 2θ ≤ 90°, low angle first:
d (Å)  Rel. int.
3.143  80
3.069  26
2.642  100
2.380  56
2.170  24
2.115  40
2.106  19
2.046  55
1.846  35
1.471  34

=====

Entry 6:
Starting from a DFT-relaxed cell (PBE, Alexandria), the powder diffraction line list of PrScZnGa was computed for a wavelength of 1.5418 Å.

```
data_PrScZnGa
_cell_length_a 7.1062
_cell_length_b 7.1062
_cell_length_c 7.1062
_cell_angle_alpha 90.00
_cell_angle_beta 90.00
_cell_angle_gamma 90.00
_symmetry_space_group_name_H-M 'P 1'
_symmetry_Int_Tables_number 1
loop_
_symmetry_equiv_pos_as_xyz
'x,y,z'
loop_
_atom_site_label
_atom_site_fract_x
_atom_site_fract_y
_atom_site_fract_z
Pr1 0.0000 0.0000 0.0000
Pr2 0.0000 0.5000 0.5000
Pr3 0.5000 0.0000 0.5000
Pr4 0.5000 0.5000 0.0000
Sc1 0.0000 0.0000 0.5000
Sc2 0.0000 0.5000 0.0000
Sc3 0.5000 0.0000 0.0000
Sc4 0.5000 0.5000 0.5000
Zn1 0.2500 0.2500 0.7500
Zn2 0.2500 0.7500 0.2500
Zn3 0.7500 0.2500 0.2500
Zn4 0.7500 0.7500 0.7500
Ga1 0.2500 0.2500 0.2500
Ga2 0.2500 0.7500 0.7500
Ga3 0.7500 0.2500 0.7500
Ga4 0.7500 0.7500 0.2500
```

Principal peaks in the range 10° ≤ 2θ ≤ 90°, low angle first:
d (Å)  Rel. int.
4.103  20
2.512  100
2.143  11
1.777  17
1.630  5
1.451  34
1.368  4
1.256  10
1.201  4
1.124  15

=====

Entry 7:
Starting from a DFT-relaxed cell (PBE, Alexandria), the powder diffraction line list of Pr3GaSe6 was computed for a wavelength of 1.5418 Å.

```
data_Pr3GaSe6
_cell_length_a 9.2404
_cell_length_b 9.2404
_cell_length_c 6.9953
_cell_angle_alpha 90.00
_cell_angle_beta 90.00
_cell_angle_gamma 102.36
_symmetry_space_group_name_H-M 'P 1'
_symmetry_Int_Tables_number 1
loop_
_symmetry_equiv_pos_as_xyz
'x,y,z'
loop_
_atom_site_label
_atom_site_fract_x
_atom_site_fract_y
_atom_site_fract_z
Pr1 0.0991 0.9009 0.5000
Pr2 0.2181 0.4148 0.5970
Pr3 0.4148 0.2181 0.0970
Pr4 0.5852 0.7819 0.5970
Pr5 0.7819 0.5852 0.0970
Pr6 0.9009 0.0991 0.0000
Ga1 0.3004 0.6996 0.1346
Ga2 0.6996 0.3004 0.6346
Se1 0.0710 0.5979 0.3065
Se2 0.1314 0.1921 0.2981
Se3 0.1921 0.1314 0.7981
Se4 0.2814 0.7186 0.7883
Se5 0.4021 0.9290 0.3065
Se6 0.4595 0.5405 0.2753
Se7 0.5405 0.4595 0.7753
Se8 0.5979 0.0710 0.8065
Se9 0.7186 0.2814 0.2883
Se10 0.8079 0.8686 0.2981
Se11 0.8686 0.8079 0.7981
Se12 0.9290 0.4021 0.8065
```

Principal peaks in the range 10° ≤ 2θ ≤ 90°, low angle first:
d (Å)  Rel. int.
3.792  100
3.745  55
2.764  87
2.551  82
2.508  67
2.309  61
1.977  31
1.957  22
1.931  28
1.530  23

=====

Entry 8:
Starting from a DFT-relaxed cell (PBE, Alexandria), the powder diffraction line list of Pr5Ga2Si was computed for a wavelength of 1.5418 Å.

```
data_Pr5Ga2Si
_cell_length_a 9.0945
_cell_length_b 9.0945
_cell_length_c 9.0945
_cell_angle_alpha 128.29
_cell_angle_beta 128.29
_cell_angle_gamma 76.15
_symmetry_space_group_name_H-M 'P 1'
_symmetry_Int_Tables_number 1
loop_
_symmetry_equiv_pos_as_xyz
'x,y,z'
loop_
_atom_site_label
_atom_site_fract_x
_atom_site_fract_y
_atom_site_fract_z
Pr1 0.0000 0.0000 0.0000
Pr2 0.0235 0.5235 0.8496
Pr3 0.1739 0.0235 0.5000
Pr4 0.3261 0.8261 0.8496
Pr5 0.4765 0.3261 0.5000
Pr6 0.5000 0.5000 0.0000
Pr7 0.5235 0.6739 0.5000
Pr8 0.6739 0.1739 0.1504
Pr9 0.8261 0.9765 0.5000
Pr10 0.9765 0.4765 0.1504
Ga1 0.1169 0.3831 0.5000
Ga2 0.3831 0.8831 0.2661
Ga3 0.6169 0.1169 0.7339
Ga4 0.8831 0.6169 0.5000
Si1 0.2500 0.2500 0.0000
Si2 0.7500 0.7500 0.0000
```

Principal peaks in the range 10° ≤ 2θ ≤ 90°, low angle first:
d (Å)  Rel. int.
3.469  19
3.443  13
2.847  100
2.804  13
2.657  34
2.508  35
2.386  17
1.784  20
1.729  15
1.657  13

=====

Entry 9:
Starting from a DFT-relaxed cell (PBE, Alexandria), the powder diffraction line list of PrYGaSi was computed for a wavelength of 1.5418 Å.

```
data_PrYGaSi
_cell_length_a 4.0224
_cell_length_b 4.3998
_cell_length_c 11.0480
_cell_angle_alpha 90.00
_cell_angle_beta 90.00
_cell_angle_gamma 90.00
_symmetry_space_group_name_H-M 'P 1'
_symmetry_Int_Tables_number 1
loop_
_symmetry_equiv_pos_as_xyz
'x,y,z'
loop_
_atom_site_label
_atom_site_fract_x
_atom_site_fract_y
_atom_site_fract_z
Pr1 0.0000 0.0000 0.0000
Pr2 0.0000 0.5000 0.5000
Y1 0.5000 0.0000 0.2814
Y2 0.5000 0.5000 0.7814
Ga1 0.5000 0.0000 0.5732
Ga2 0.5000 0.5000 0.0732
Si1 0.0000 0.0000 0.7182
Si2 0.0000 0.5000 0.2182
```

Principal peaks in the range 10° ≤ 2θ ≤ 90°, low angle first:
d (Å)  Rel. int.
3.252  30
2.867  100
2.824  46
2.762  23
2.311  43
2.277  18
2.200  24
2.011  18
1.638  18
1.485  26

=====

Entry 10:
Starting from a DFT-relaxed cell (PBE, Alexandria), the powder diffraction line list of Pr4SmGa4 was computed for a wavelength of 1.5418 Å.

```
data_Pr4SmGa4
_cell_length_a 7.7543
_cell_length_b 7.7543
_cell_length_c 7.7543
_cell_angle_alpha 95.66
_cell_angle_beta 95.66
_cell_angle_gamma 143.40
_symmetry_space_group_name_H-M 'P 1'
_symmetry_Int_Tables_number 1
loop_
_symmetry_equiv_pos_as_xyz
'x,y,z'
loop_
_atom_site_label
_atom_site_fract_x
_atom_site_fract_y
_atom_site_fract_z
Pr1 0.1342 0.6465 0.7808
Pr2 0.3535 0.1342 0.4877
Pr3 0.6465 0.8658 0.5123
Pr4 0.8658 0.3535 0.2192
Sm1 0.0000 0.0000 0.0000
Ga1 0.3327 0.4300 0.7627
Ga2 0.4300 0.6673 0.0973
Ga3 0.5700 0.3327 0.9027
Ga4 0.6673 0.5700 0.2373
```

Principal peaks in the range 10° ≤ 2θ ≤ 90°, low angle first:
d (Å)  Rel. int.
3.365  100
3.292  43
2.826  16
2.603  17
2.484  62
2.435  32
2.242  34
1.958  20
1.414  15
1.192  17

=====

Entry 11:
Starting from a DFT-relaxed cell (PBE, Alexandria), the powder diffraction line list of Pr5SmGa6 was computed for a wavelength of 1.5418 Å.

```
data_Pr5SmGa6
_cell_length_a 9.0979
_cell_length_b 9.0979
_cell_length_c 9.0979
_cell_angle_alpha 146.48
_cell_angle_beta 131.84
_cell_angle_gamma 59.95
_symmetry_space_group_name_H-M 'P 1'
_symmetry_Int_Tables_number 1
loop_
_symmetry_equiv_pos_as_xyz
'x,y,z'
loop_
_atom_site_label
_atom_site_fract_x
_atom_site_fract_y
_atom_site_fract_z
Pr1 0.0000 0.0000 0.0000
Pr2 0.1650 0.6650 0.5000
Pr3 0.3303 0.3303 0.0000
Pr4 0.6697 0.6697 0.0000
Pr5 0.8350 0.3350 0.5000
Sm1 0.5000 0.0000 0.5000
Ga1 0.0895 0.8353 0.2542
Ga2 0.2585 0.5000 0.7585
Ga3 0.4190 0.1647 0.2542
Ga4 0.5810 0.8353 0.7458
Ga5 0.7415 0.5000 0.2415
Ga6 0.9105 0.1647 0.7458
```

Principal peaks in the range 10° ≤ 2θ ≤ 90°, low angle first:
d (Å)  Rel. int.
3.713  13
2.625  100
2.143  4
1.856  18
1.660  5
1.516  36
1.313  9
1.312  2
1.238  2
1.174  15

=====

Entry 12:
Starting from a DFT-relaxed cell (PBE, Alexandria), the powder diffraction line list of PrSm3Ga3 was computed for a wavelength of 1.5418 Å.

```
data_PrSm3Ga3
_cell_length_a 9.4797
_cell_length_b 9.4797
_cell_length_c 4.8255
_cell_angle_alpha 90.00
_cell_angle_beta 90.00
_cell_angle_gamma 120.00
_symmetry_space_group_name_H-M 'P 1'
_symmetry_Int_Tables_number 1
loop_
_symmetry_equiv_pos_as_xyz
'x,y,z'
loop_
_atom_site_label
_atom_site_fract_x
_atom_site_fract_y
_atom_site_fract_z
Pr1 0.3333 0.6667 0.2500
Pr2 0.6667 0.3333 0.7500
Sm1 0.0221 0.2611 0.7500
Sm2 0.2390 0.9779 0.7500
Sm3 0.2611 0.2390 0.2500
Sm4 0.7389 0.7610 0.7500
Sm5 0.7610 0.0221 0.2500
Sm6 0.9779 0.7389 0.2500
Ga1 0.0565 0.6053 0.7500
Ga2 0.3947 0.4512 0.7500
Ga3 0.4512 0.0565 0.2500
Ga4 0.5488 0.9435 0.7500
Ga5 0.6053 0.5488 0.2500
Ga6 0.9435 0.3947 0.2500
```

Principal peaks in the range 10° ≤ 2θ ≤ 90°, low angle first:
d (Å)  Rel. int.
3.381  17
3.127  24
3.103  26
2.737  15
2.610  100
2.413  25
1.905  13
1.792  9
1.755  16
1.428  15